Starting from a cell relaxed with PBE, the PXRD pattern of SrLaMg14 was computed for a wavelength of 1.5418 Å.

Largest 10 diffraction maxima, most intense first, 2θ from 10° to 80°:
| two_theta | I/Imax |
| --- | --- |
| 35.31 | 100 |
| 35.16 | 49 |
| 17.38 | 36 |
| 33.62 | 36 |
| 61.18 | 31 |
| 30.92 | 28 |
| 15.25 | 23 |
| 22.63 | 22 |
| 65.83 | 19 |
| 16.63 | 18 |

Cell and atoms:
Cell lengths 10.662, 6.703, 6.703 Å; angles 59.65, 90.00, 90.00 degrees
Sites, in units of the cell vectors:
Sr (0.000, 0.000, 0.000)
La (0.000, 0.499, 0.499)
Mg (0.000, 0.002, 0.504)
Mg (0.000, 0.504, 0.002)
Mg (0.255, 0.672, 0.672)
Mg (0.256, 0.174, 0.174)
Mg (0.265, 0.168, 0.664)
Mg (0.265, 0.664, 0.168)
Mg (0.500, 0.002, 0.502)
Mg (0.500, 0.003, 0.003)
Mg (0.500, 0.502, 0.002)
Mg (0.500, 0.503, 0.503)
Mg (0.735, 0.168, 0.664)
Mg (0.735, 0.664, 0.168)
Mg (0.744, 0.174, 0.174)
Mg (0.745, 0.672, 0.672)